Theoretical X-ray diffraction stick pattern
Compound: CuWO4
Radiation: Cu Kα, 1.54184 Å
Structure: a DFT-relaxed cell (PBE+U, Alexandria)
Kinematic intensities with the Lorentz-polarization factor, no thermal factor.

Top 8 peaks for 2θ = 15–90°, sorted by position:
| 2θ/deg | intensity | index |
| --- | --- | --- |
| 18.97 | 41 | 1 0 0 |
| 23.45 | 40 | 0 1 1 |
| 24.35 | 59 | 1 1 0 |
| 29.69 | 100 | 1 1 -1 |
| 30.96 | 86 | 1 1 1 |
| 35.56 | 45 | 0 2 1 |
| 50.66 | 31 | 1 3 0 |
| 64.50 | 34 | 0 2 3 |

Structural model:
```
CuWO4
1.0
4.685 0.000 0.000
0.000 5.858 0.000
-0.275 0.000 4.980
Cu W O
2 2 8
direct
0.000 0.164 0.250
0.000 0.836 0.750
0.500 0.330 0.750
0.500 0.670 0.250
0.239 0.131 0.584
0.239 0.869 0.084
0.282 0.393 0.063
0.282 0.607 0.563
0.718 0.393 0.437
0.718 0.607 0.937
0.761 0.131 0.916
0.761 0.869 0.416
```